# 1
Tb2Pr2SmHo: theoretical powder diffractogram (Cu Ka), based on the PBE geometry in Alexandria.
Peak positions follow from Bragg's law for the DFT cell and can differ from measured ones.

Lattice parameters (Å, degrees): 7.0541 5.7180 9.9211 90.00 90.00 90.00
Space group Pmma (No. 51)
Unique sites:
Tb: 0.2500 0.0000 0.1652
Tb: 0.2500 0.5000 0.6668
Pr: 0.0000 0.5000 0.0000
Pr: 0.2500 0.0000 0.8281
Sm: 0.0000 0.0000 0.5000
Ho: 0.2500 0.5000 0.3370

Largest 10 diffraction maxima, low angle first, 15° ≤ 2θ ≤ 90°:
Position (°2θ)  intensity  (hkl)
31.1  88  2 1 1
31.3  100  0 2 0
40.6  13  2 2 0
44.7  33  2 0 4
55.6  41  0 0 6
55.7  13  0 3 3
61.8  29  4 2 0
65.2  12  0 4 0
79.5  14  4 3 3
87.9  11  4 4 0

# 2
CePu6Ru5: theoretical powder diffractogram (Cu Ka), based on the PBE geometry in Alexandria.
Peak positions follow from Bragg's law for the DFT cell and can differ from measured ones.

Lattice parameters (Å, degrees): 4.8713 7.0091 7.4955 90.00 108.43 90.00
Space group P2/m (No. 10)
Unique sites:
Ce: 0.0000 0.0000 0.0000
Pu: 0.1724 0.2559 0.3476
Pu: 0.5000 0.2670 0.0000
Ru: 0.0000 0.5000 0.0000
Ru: 0.3358 0.0000 0.6664
Ru: 0.3392 0.5000 0.6694

Largest 10 diffraction maxima, low angle first, 15° ≤ 2θ ≤ 90°:
Position (°2θ)  intensity  (hkl)
36.8  68  1 2 1
36.9  100  2 0 -1
38.0  30  0 0 3
52.2  12  0 4 0
53.7  11  2 0 2
54.3  11  2 0 -4
65.6  12  2 4 -1
66.3  24  3 2 0
66.6  12  3 2 -3
78.6  11  4 0 -2

# 3
NiBi4I: theoretical powder diffractogram (Cu Ka), based on the PBE geometry in Alexandria.
Peak positions follow from Bragg's law for the DFT cell and can differ from measured ones.

Lattice parameters (Å, degrees): 13.8769 9.0373 6.9025 90.00 95.38 90.00
Space group C2/m (No. 12)
Unique sites:
Ni: 0.0043 0.0000 0.3073
Bi: 0.0000 0.1938 0.0000
Bi: 0.1210 0.1799 0.5539
Bi: 0.1822 0.0000 0.1801
I: 0.1384 0.5000 0.2128

Largest 10 diffraction maxima, low angle first, 15° ≤ 2θ ≤ 90°:
Position (°2θ)  intensity  (hkl)
23.5  44  2 2 0
27.5  100  2 2 1
27.9  84  2 0 -2
30.0  72  4 0 1
30.4  37  1 3 0
32.7  81  0 2 2
34.3  79  4 2 -1
37.4  36  3 3 -1
39.9  36  1 3 -2
42.7  36  2 0 3

# 4
IBr4: theoretical powder diffractogram (Cu Ka), based on the PBE geometry in Alexandria.
Peak positions follow from Bragg's law for the DFT cell and can differ from measured ones.

Lattice parameters (Å, degrees): 6.1954 7.8399 10.5077 100.08 102.33 103.86
Space group P1 (No. 1)
Unique sites:
I: 0.0000 0.0000 0.0000
I: 0.2137 0.5051 0.4962
Br: 0.0258 0.1605 0.3979
Br: 0.2099 0.9270 0.8038
Br: 0.2464 0.3314 0.0844
Br: 0.4346 0.8776 0.6235
Br: 0.5791 0.7042 0.1572
Br: 0.6508 0.5839 0.9163
Br: 0.6797 0.4503 0.6934
Br: 0.9023 0.6030 0.3330

Largest 10 diffraction maxima, low angle first, 15° ≤ 2θ ≤ 90°:
Position (°2θ)  intensity  (hkl)
15.5  27  1 0 -1
16.5  37  1 -1 0
19.3  100  1 -1 1
20.2  66  1 0 -2
25.3  33  1 -1 2
27.1  34  1 0 -3
30.7  28  1 2 -1
35.2  49  2 -2 1
35.4  24  0 3 -1
47.7  33  1 -4 2

# 5
GeB6Pt12: theoretical powder diffractogram (Cu Ka), based on the PBE geometry in Alexandria.
Peak positions follow from Bragg's law for the DFT cell and can differ from measured ones.

Lattice parameters (Å, degrees): 6.0439 6.9532 7.4450 108.09 106.38 107.05
Space group P-1 (No. 2)
Unique sites:
Ge: 0.0000 0.0000 0.0000
B: 0.1664 0.3495 0.7841
B: 0.3657 0.8558 0.1474
B: 0.3672 0.5924 0.4361
Pt: 0.0950 0.6465 0.8279
Pt: 0.2228 0.0600 0.7730
Pt: 0.2264 0.3199 0.5047
Pt: 0.2334 0.8322 0.3925
Pt: 0.3632 0.5399 0.1205
Pt: 0.4703 0.1971 0.2371

Largest 10 diffraction maxima, low angle first, 15° ≤ 2θ ≤ 90°:
Position (°2θ)  intensity  (hkl)
33.3  90  -1 2 1
34.0  66  2 0 -2
34.7  100  1 -2 2
35.4  83  1 2 -1
36.2  52  -2 1 2
36.8  56  1 1 -3
38.0  44  2 1 -1
38.1  50  0 2 1
39.1  53  1 -3 1
42.0  46  2 0 1

# 6
Rb2AcHg10: theoretical powder diffractogram (Cu Ka), based on the PBE geometry in Alexandria.
Peak positions follow from Bragg's law for the DFT cell and can differ from measured ones.

Lattice parameters (Å, degrees): 9.0375 10.9601 8.5607 90.00 101.56 90.00
Space group P2_1/c (No. 14)
Unique sites:
Rb: 0.0340 0.2099 0.4841
Ac: 0.5000 0.0000 0.0000
Hg: 0.1316 0.5026 0.3391
Hg: 0.2071 0.5040 0.7151
Hg: 0.3229 0.7366 0.8838
Hg: 0.3628 0.0009 0.5921
Hg: 0.3968 0.2324 0.2846

Largest 10 diffraction maxima, low angle first, 15° ≤ 2θ ≤ 90°:
Position (°2θ)  intensity  (hkl)
27.4  22  2 1 -2
30.1  73  1 2 2
31.1  49  3 1 -1
32.7  100  0 4 0
34.5  33  3 2 0
36.2  46  2 2 2
39.0  24  3 3 -1
40.3  15  1 3 -3
51.8  17  3 5 -1
60.7  20  2 6 2

Q: Number 3 is which compound?
A: NiBi4I

Copy entry 1 word for word.
Tb2Pr2SmHo: theoretical powder diffractogram (Cu Ka), based on the PBE geometry in Alexandria.
Peak positions follow from Bragg's law for the DFT cell and can differ from measured ones.

Lattice parameters (Å, degrees): 7.0541 5.7180 9.9211 90.00 90.00 90.00
Space group Pmma (No. 51)
Unique sites:
Tb: 0.2500 0.0000 0.1652
Tb: 0.2500 0.5000 0.6668
Pr: 0.0000 0.5000 0.0000
Pr: 0.2500 0.0000 0.8281
Sm: 0.0000 0.0000 0.5000
Ho: 0.2500 0.5000 0.3370

Largest 10 diffraction maxima, low angle first, 15° ≤ 2θ ≤ 90°:
Position (°2θ)  intensity  (hkl)
31.1  88  2 1 1
31.3  100  0 2 0
40.6  13  2 2 0
44.7  33  2 0 4
55.6  41  0 0 6
55.7  13  0 3 3
61.8  29  4 2 0
65.2  12  0 4 0
79.5  14  4 3 3
87.9  11  4 4 0